Entry 1:
Calculated PXRD pattern of Pr2S3 for copper Kα, from a crystal structure in the Materials Project, relaxed with PBE.
Peak positions follow from Bragg's law for the DFT cell and can differ from measured ones.

Principal peaks in the range 2θ = 10–90°, in order of rising 2θ:
2θ (°)	I (rel.)
22.5	19
24.2	22
25.4	100
27.6	30
34.2	42
36.6	22
37.9	26
42.5	21
44.2	21
47.6	19

Structural model:
```
data_Pr2S3
_chemical_formula_sum 'Pr8 S12'
_symmetry_space_group_name_H-M 'P 1'
_symmetry_Int_Tables_number 1
_symmetry_space_group_name_Hall 'P 1'
_cell_length_a 7.5625
_cell_length_b 4.0949
_cell_length_c 15.7881
_cell_angle_alpha 90.00
_cell_angle_beta 90.00
_cell_angle_gamma 90.00
loop_
_atom_site_label
_atom_site_type_symbol
_atom_site_fract_x
_atom_site_fract_y
_atom_site_fract_z
Pr1 Pr 0.1449 0.2500 0.2045
Pr2 Pr 0.2355 0.7500 0.4559
Pr3 Pr 0.2645 0.2500 0.9559
Pr4 Pr 0.3551 0.7500 0.7045
Pr5 Pr 0.6449 0.2500 0.2955
Pr6 Pr 0.7355 0.7500 0.0441
Pr7 Pr 0.7645 0.2500 0.5441
Pr8 Pr 0.8551 0.7500 0.7955
S1 S 0.0098 0.2500 0.3906
S2 S 0.1263 0.7500 0.0675
S3 S 0.1453 0.2500 0.7810
S4 S 0.3547 0.7500 0.2810
S5 S 0.3737 0.2500 0.5675
S6 S 0.4902 0.7500 0.8906
S7 S 0.5098 0.2500 0.1094
S8 S 0.6263 0.7500 0.4325
S9 S 0.6453 0.2500 0.7190
S10 S 0.8547 0.7500 0.2190
S11 S 0.8737 0.2500 0.9325
S12 S 0.9902 0.7500 0.6094
```

Entry 2:
Calculated PXRD pattern of KRb2TlBr6 for copper Kα, from a crystal structure in the Materials Project, relaxed with PBE.
Peak positions follow from Bragg's law for the DFT cell and can differ from measured ones.

Principal peaks in the range 2θ = 10–90°, in order of rising 2θ:
2θ (°)	I (rel.)
13.0	49
15.0	37
21.2	39
26.1	43
30.2	100
33.9	18
43.3	71
53.7	24
71.3	30
79.4	22

Structural model:
```
data_KRb2TlBr6
_chemical_formula_sum 'K1 Rb2 Tl1 Br6'
_symmetry_space_group_name_H-M 'P 1'
_symmetry_Int_Tables_number 1
_symmetry_space_group_name_Hall 'P 1'
_cell_length_a 8.3645
_cell_length_b 8.3645
_cell_length_c 8.3645
_cell_angle_alpha 60.00
_cell_angle_beta 60.00
_cell_angle_gamma 60.00
loop_
_atom_site_label
_atom_site_type_symbol
_atom_site_fract_x
_atom_site_fract_y
_atom_site_fract_z
K1 K 0.0000 0.0000 0.0000
Rb1 Rb 0.2500 0.2500 0.2500
Rb2 Rb 0.7500 0.7500 0.7500
Tl1 Tl 0.5000 0.5000 0.5000
Br1 Br 0.2652 0.2652 0.7348
Br2 Br 0.2652 0.7348 0.2652
Br3 Br 0.2652 0.7348 0.7348
Br4 Br 0.7348 0.2652 0.2652
Br5 Br 0.7348 0.2652 0.7348
Br6 Br 0.7348 0.7348 0.2652
```

Entry 3:
Calculated PXRD pattern of Rb3FeS3 for copper Kα, from a crystal structure in the Materials Project, relaxed with PBE.
Peak positions follow from Bragg's law for the DFT cell and can differ from measured ones.

Principal peaks in the range 2θ = 10–90°, in order of rising 2θ:
2θ (°)	I (rel.)
22.3	25
23.5	23
24.0	23
24.5	24
26.4	27
26.8	21
28.7	67
29.3	100
30.0	79
34.7	37

Structural model:
```
data_Rb3FeS3
_chemical_formula_sum 'Rb12 Fe4 S12'
_symmetry_space_group_name_H-M 'P 1'
_symmetry_Int_Tables_number 1
_symmetry_space_group_name_Hall 'P 1'
_cell_length_a 8.0450
_cell_length_b 13.2115
_cell_length_c 10.5422
_cell_angle_alpha 90.00
_cell_angle_beta 127.37
_cell_angle_gamma 90.00
loop_
_atom_site_label
_atom_site_type_symbol
_atom_site_fract_x
_atom_site_fract_y
_atom_site_fract_z
Rb1 Rb 0.1139 0.1334 0.4812
Rb2 Rb 0.1139 0.3666 0.9812
Rb3 Rb 0.1459 0.0758 0.8915
Rb4 Rb 0.1459 0.4242 0.3915
Rb5 Rb 0.3670 0.6916 0.5785
Rb6 Rb 0.3670 0.8084 0.0785
Rb7 Rb 0.6330 0.1916 0.9215
Rb8 Rb 0.6330 0.3084 0.4215
Rb9 Rb 0.8541 0.5758 0.6085
Rb10 Rb 0.8541 0.9242 0.1085
Rb11 Rb 0.8861 0.6334 0.0188
Rb12 Rb 0.8861 0.8666 0.5188
Fe1 Fe 0.4370 0.0566 0.3440
Fe2 Fe 0.4370 0.4434 0.8440
Fe3 Fe 0.5630 0.5566 0.1560
Fe4 Fe 0.5630 0.9434 0.6560
S1 S 0.1581 0.1616 0.1965
S2 S 0.1581 0.3384 0.6965
S3 S 0.3592 0.6057 0.8847
S4 S 0.3592 0.8943 0.3847
S5 S 0.3817 0.5475 0.2547
S6 S 0.3817 0.9525 0.7547
S7 S 0.6183 0.0475 0.2453
S8 S 0.6183 0.4525 0.7453
S9 S 0.6408 0.1057 0.6153
S10 S 0.6408 0.3943 0.1153
S11 S 0.8419 0.6616 0.3035
S12 S 0.8419 0.8384 0.8035
```

Entry 4:
Calculated PXRD pattern of Li10SnP2Se12 for copper Kα, from a crystal structure in the Materials Project, relaxed with PBE.
Peak positions follow from Bragg's law for the DFT cell and can differ from measured ones.

Principal peaks in the range 2θ = 10–90°, in order of rising 2θ:
2θ (°)	I (rel.)
13.4	15
18.8	22
22.3	17
25.1	21
27.1	29
27.5	100
38.1	12
38.6	28
44.1	29
48.1	20

Structural model:
```
data_Li10SnP2Se12
_chemical_formula_sum 'Li20 Sn2 P4 Se24'
_symmetry_space_group_name_H-M 'P 1'
_symmetry_Int_Tables_number 1
_symmetry_space_group_name_Hall 'P 1'
_cell_length_a 9.3222
_cell_length_b 9.3222
_cell_length_c 13.5221
_cell_angle_alpha 90.00
_cell_angle_beta 90.00
_cell_angle_gamma 90.00
loop_
_atom_site_label
_atom_site_type_symbol
_atom_site_fract_x
_atom_site_fract_y
_atom_site_fract_z
Li1 Li 0.0000 0.0000 0.0000
Li2 Li 0.0000 0.0000 0.5000
Li3 Li 0.2262 0.2426 0.4892
Li4 Li 0.2262 0.7574 0.4892
Li5 Li 0.2271 0.2727 0.7468
Li6 Li 0.2271 0.7273 0.7468
Li7 Li 0.2426 0.2262 0.9892
Li8 Li 0.2426 0.7738 0.9892
Li9 Li 0.2727 0.2271 0.2468
Li10 Li 0.2727 0.7729 0.2468
Li11 Li 0.5000 0.5000 0.3941
Li12 Li 0.5000 0.5000 0.8941
Li13 Li 0.7273 0.2271 0.2468
Li14 Li 0.7273 0.7729 0.2468
Li15 Li 0.7574 0.2262 0.9892
Li16 Li 0.7574 0.7738 0.9892
Li17 Li 0.7729 0.2727 0.7468
Li18 Li 0.7729 0.7273 0.7468
Li19 Li 0.7738 0.2426 0.4892
Li20 Li 0.7738 0.7574 0.4892
Sn1 Sn 0.0000 0.0000 0.2541
Sn2 Sn 0.0000 0.0000 0.7541
P1 P 0.0000 0.5000 0.9559
P2 P 0.5000 0.0000 0.4559
P3 P 0.5000 0.5000 0.1377
P4 P 0.5000 0.5000 0.6377
Se1 Se 0.0000 0.2227 0.6446
Se2 Se 0.0000 0.2271 0.3610
Se3 Se 0.0000 0.3065 0.0521
Se4 Se 0.0000 0.6935 0.0521
Se5 Se 0.0000 0.7729 0.3610
Se6 Se 0.0000 0.7773 0.6446
Se7 Se 0.1989 0.5000 0.8628
Se8 Se 0.2227 0.0000 0.1446
Se9 Se 0.2271 0.0000 0.8610
Se10 Se 0.3004 0.5000 0.5452
Se11 Se 0.3045 0.5000 0.2315
Se12 Se 0.3065 0.0000 0.5521
Se13 Se 0.5000 0.1989 0.3628
Se14 Se 0.5000 0.3004 0.0452
Se15 Se 0.5000 0.3045 0.7315
Se16 Se 0.5000 0.6955 0.7315
Se17 Se 0.5000 0.6996 0.0452
Se18 Se 0.5000 0.8011 0.3628
Se19 Se 0.6935 0.0000 0.5521
Se20 Se 0.6955 0.5000 0.2315
Se21 Se 0.6996 0.5000 0.5452
Se22 Se 0.7729 0.0000 0.8610
Se23 Se 0.7773 0.0000 0.1446
Se24 Se 0.8011 0.5000 0.8628
```

Entry 5:
Calculated PXRD pattern of LaAl3Au for copper Kα, from a crystal structure in the Materials Project, relaxed with PBE.
Peak positions follow from Bragg's law for the DFT cell and can differ from measured ones.

Principal peaks in the range 2θ = 10–90°, in order of rising 2θ:
2θ (°)	I (rel.)
16.1	35
21.9	46
28.9	59
31.9	100
33.2	53
41.3	42
46.2	32
53.1	48
58.6	15
63.7	25

Structural model:
```
data_LaAl3Au
_chemical_formula_sum 'La1 Al3 Au1'
_symmetry_space_group_name_H-M 'P 1'
_symmetry_Int_Tables_number 1
_symmetry_space_group_name_Hall 'P 1'
_cell_length_a 6.3035
_cell_length_b 6.3035
_cell_length_c 6.3035
_cell_angle_alpha 139.38
_cell_angle_beta 139.38
_cell_angle_gamma 58.80
loop_
_atom_site_label
_atom_site_type_symbol
_atom_site_fract_x
_atom_site_fract_y
_atom_site_fract_z
La1 La 0.0000 0.0000 0.0000
Al1 Al 0.2623 0.7623 0.5000
Al2 Al 0.4097 0.4097 0.0000
Al3 Al 0.7623 0.2623 0.5000
Au1 Au 0.6389 0.6389 0.0000
```

Entry 6:
Calculated PXRD pattern of Ba6Ho2Ga4O15 for copper Kα, from a crystal structure in the Materials Project, relaxed with PBE.
Peak positions follow from Bragg's law for the DFT cell and can differ from measured ones.

Principal peaks in the range 2θ = 10–90°, in order of rising 2θ:
2θ (°)	I (rel.)
28.8	48
29.6	51
30.1	95
30.6	100
41.8	44
45.1	21
51.5	15
52.8	16
53.2	18
54.9	16

Structural model:
```
data_Ba6Ho2Ga4O15
_chemical_formula_sum 'Ba12 Ho4 Ga8 O30'
_symmetry_space_group_name_H-M 'P 1'
_symmetry_Int_Tables_number 1
_symmetry_space_group_name_Hall 'P 1'
_cell_length_a 8.0447
_cell_length_b 6.0324
_cell_length_c 18.6351
_cell_angle_alpha 90.00
_cell_angle_beta 91.34
_cell_angle_gamma 90.00
loop_
_atom_site_label
_atom_site_type_symbol
_atom_site_fract_x
_atom_site_fract_y
_atom_site_fract_z
Ba1 Ba 0.0000 0.1679 0.2500
Ba2 Ba 0.0000 0.8321 0.7500
Ba3 Ba 0.0014 0.2561 0.5785
Ba4 Ba 0.0014 0.7439 0.0785
Ba5 Ba 0.4720 0.2449 0.9104
Ba6 Ba 0.4720 0.7551 0.4104
Ba7 Ba 0.5000 0.2221 0.2500
Ba8 Ba 0.5000 0.7779 0.7500
Ba9 Ba 0.5280 0.2449 0.5896
Ba10 Ba 0.5280 0.7551 0.0896
Ba11 Ba 0.9986 0.2561 0.9215
Ba12 Ba 0.9986 0.7439 0.4215
Ho1 Ho 0.2514 0.2450 0.0898
Ho2 Ho 0.2514 0.7550 0.5898
Ho3 Ho 0.7486 0.2450 0.4102
Ho4 Ho 0.7486 0.7550 0.9102
Ga1 Ga 0.2537 0.2508 0.4416
Ga2 Ga 0.2537 0.7492 0.9416
Ga3 Ga 0.2702 0.2751 0.7336
Ga4 Ga 0.2702 0.7249 0.2336
Ga5 Ga 0.7298 0.2751 0.7664
Ga6 Ga 0.7298 0.7249 0.2664
Ga7 Ga 0.7463 0.2508 0.0584
Ga8 Ga 0.7463 0.7492 0.5584
O1 O 0.0318 0.2554 0.4084
O2 O 0.0318 0.7446 0.9084
O3 O 0.1885 0.1742 0.8179
O4 O 0.1885 0.8258 0.3179
O5 O 0.2262 0.4563 0.1892
O6 O 0.2262 0.5437 0.6892
O7 O 0.2492 0.0479 0.6641
O8 O 0.2492 0.9521 0.1641
O9 O 0.2634 0.4965 0.5054
O10 O 0.2634 0.5035 0.0054
O11 O 0.2649 0.0037 0.0002
O12 O 0.2649 0.9963 0.5002
O13 O 0.4538 0.2609 0.3920
O14 O 0.4538 0.7391 0.8920
O15 O 0.5000 0.2942 0.7500
O16 O 0.5000 0.7058 0.2500
O17 O 0.5462 0.2609 0.1080
O18 O 0.5462 0.7391 0.6080
O19 O 0.7351 0.0037 0.4998
O20 O 0.7351 0.9963 0.9998
O21 O 0.7366 0.4965 0.9946
O22 O 0.7366 0.5035 0.4946
O23 O 0.7508 0.0479 0.8359
O24 O 0.7508 0.9521 0.3359
O25 O 0.7738 0.4563 0.3108
O26 O 0.7738 0.5437 0.8108
O27 O 0.8115 0.1742 0.6821
O28 O 0.8115 0.8258 0.1821
O29 O 0.9682 0.2554 0.0916
O30 O 0.9682 0.7446 0.5916
```

Entry 7:
Calculated PXRD pattern of Zn3Se for copper Kα, from a crystal structure in the Materials Project, relaxed with PBE.
Peak positions follow from Bragg's law for the DFT cell and can differ from measured ones.

Principal peaks in the range 2θ = 10–90°, in order of rising 2θ:
2θ (°)	I (rel.)
37.6	100
43.7	49
63.4	30
76.1	35
80.2	10

Structural model:
```
data_Zn3Se
_chemical_formula_sum 'Zn3 Se1'
_symmetry_space_group_name_H-M 'P 1'
_symmetry_Int_Tables_number 1
_symmetry_space_group_name_Hall 'P 1'
_cell_length_a 4.1468
_cell_length_b 4.1468
_cell_length_c 4.1468
_cell_angle_alpha 90.00
_cell_angle_beta 90.00
_cell_angle_gamma 90.00
loop_
_atom_site_label
_atom_site_type_symbol
_atom_site_fract_x
_atom_site_fract_y
_atom_site_fract_z
Zn1 Zn 0.0000 0.0000 0.5000
Zn2 Zn 0.0000 0.5000 0.0000
Zn3 Zn 0.5000 0.0000 0.0000
Se1 Se 0.5000 0.5000 0.5000
```

Entry 8:
Calculated PXRD pattern of MgAl2 for copper Kα, from a crystal structure in the Materials Project, relaxed with PBE.
Peak positions follow from Bragg's law for the DFT cell and can differ from measured ones.

Principal peaks in the range 2θ = 10–90°, in order of rising 2θ:
2θ (°)	I (rel.)
13.6	1
37.2	100
41.5	18
44.0	31
62.0	21
64.0	10
72.8	13
76.4	23
79.2	10

Structural model:
```
data_MgAl2
_chemical_formula_sum 'Mg4 Al8'
_symmetry_space_group_name_H-M 'P 1'
_symmetry_Int_Tables_number 1
_symmetry_space_group_name_Hall 'P 1'
_cell_length_a 13.3885
_cell_length_b 13.3885
_cell_length_c 13.3885
_cell_angle_alpha 162.32
_cell_angle_beta 162.32
_cell_angle_gamma 25.11
loop_
_atom_site_label
_atom_site_type_symbol
_atom_site_fract_x
_atom_site_fract_y
_atom_site_fract_z
Mg1 Mg 0.2935 0.5435 0.7500
Mg2 Mg 0.4565 0.7065 0.7500
Mg3 Mg 0.5435 0.2935 0.2500
Mg4 Mg 0.7065 0.4565 0.2500
Al1 Al 0.0445 0.7945 0.2500
Al2 Al 0.1247 0.3747 0.7500
Al3 Al 0.2055 0.9555 0.2500
Al4 Al 0.3747 0.1247 0.2500
Al5 Al 0.6253 0.8753 0.7500
Al6 Al 0.7945 0.0445 0.7500
Al7 Al 0.8753 0.6253 0.2500
Al8 Al 0.9555 0.2055 0.7500
```